This entry pairs a crystal structure of MgTi2Si2Ag4O10 with its computed XRD peak list. Radiation: Cu Kα (λ = 1.5418 Å). Structure: DFT lattice parameters and positions (PBE).
Intensities are scaled so that the largest is 100.

Most intense lines, 10 to 80 degrees two-theta, low angle first:
13.66°, 6.483 Å, rel. 61; 17.74°, 4.999 Å, rel. 100; 29.52°, 3.026 Å, rel. 41; 30.71°, 2.911 Å, rel. 60; 33.36°, 2.686 Å, rel. 39; 39.93°, 2.258 Å, rel. 35

Atomic structure:
Cell: 6.492 6.492 7.388 Å, 92.99 92.99 90.41°
Atoms (fractional coordinates):
Mg  0.000  0.000  0.000
Ti  0.279  0.279  0.786
Ti  0.767  0.767  0.659
Si  0.276  0.773  0.729
Si  0.773  0.276  0.729
Ag  0.051  0.051  0.376
Ag  0.590  0.590  0.060
Ag  0.633  0.943  0.296
Ag  0.943  0.633  0.296
O  0.066  0.770  0.594
O  0.256  0.256  0.555
O  0.264  0.980  0.872
O  0.281  0.574  0.859
O  0.476  0.778  0.604
O  0.574  0.281  0.859
O  0.770  0.066  0.594
O  0.778  0.476  0.604
O  0.799  0.799  0.895
O  0.980  0.264  0.872

This entry pairs a crystal structure of MgSb2O4 with its computed XRD peak list. Radiation: Cu Kα (λ = 1.5418 Å). Structure: DFT lattice parameters and positions (PBE).
Intensities are scaled so that the largest is 100.

Most intense lines, 10 to 80 degrees two-theta, low angle first:
15.64°, 5.667 Å, rel. 100; 24.99°, 3.563 Å, rel. 64; 29.42°, 3.036 Å, rel. 97; 30.37°, 2.943 Å, rel. 91; 31.85°, 2.810 Å, rel. 84; 32.10°, 2.788 Å, rel. 87

Atomic structure:
Cell: 6.361 6.941 17.008 Å, 87.99 89.34 63.51°
Atoms (fractional coordinates):
Mg  0.000  0.000  0.000
Mg  0.002  0.075  0.611
Mg  0.279  0.445  0.650
Mg  0.288  0.452  0.285
Mg  0.672  0.669  0.952
Mg  0.920  0.034  0.352
Sb  0.132  0.233  0.802
Sb  0.152  0.718  0.864
Sb  0.308  0.379  0.026
Sb  0.331  0.832  0.168
Sb  0.398  0.628  0.487
Sb  0.514  0.895  0.332
Sb  0.539  0.015  0.548
Sb  0.652  0.230  0.797
Sb  0.660  0.704  0.747
Sb  0.818  0.343  0.136
Sb  0.852  0.799  0.173
Sb  0.958  0.479  0.453
O  0.008  0.507  0.730
O  0.022  0.491  0.204
O  0.083  0.840  0.254
O  0.091  0.808  0.097
O  0.136  0.197  0.042
O  0.167  0.731  0.573
O  0.208  0.216  0.578
O  0.259  0.487  0.414
O  0.263  0.900  0.412
O  0.302  0.400  0.902
O  0.319  0.806  0.942
O  0.413  0.184  0.728
O  0.492  0.519  0.201
O  0.509  0.506  0.727
O  0.547  0.160  0.316
O  0.636  0.780  0.630
O  0.662  0.215  0.579
O  0.665  0.211  0.044
O  0.703  0.626  0.076
O  0.776  0.464  0.856
O  0.814  0.786  0.390
O  0.883  0.814  0.938
O  0.929  0.314  0.368
O  0.951  0.126  0.726

This entry pairs a crystal structure of Pu3Au with its computed XRD peak list. Radiation: Cu Kα (λ = 1.5418 Å). Structure: DFT lattice parameters and positions (PBE).
Intensities are scaled so that the largest is 100.

Most intense lines, 10 to 80 degrees two-theta, low angle first:
37.77°, 2.382 Å, rel. 100; 54.49°, 1.684 Å, rel. 18; 68.20°, 1.375 Å, rel. 37

Atomic structure:
Cell: 4.763 4.763 4.763 Å, 60.00 60.00 60.00°
Atoms (fractional coordinates):
Pu  0.000  0.000  0.000
Pu  0.250  0.250  0.250
Pu  0.750  0.750  0.750
Au  0.500  0.500  0.500